This entry pairs a crystal structure of Tb3Sn2Pb5 with its calculated PXRD pattern. Radiation: Cu Ka. Structure: a structure optimized by DFT (PBE).
Neutral-atom scattering factors, no anomalous dispersion.

Unit cell a=13.6483 b=13.6483 c=4.6089 alpha=90.00 beta=90.00 gamma=160.99
Positions (direct):
Tb 0.0000 0.0000 0.0000
Tb 0.3111 0.6889 0.5000
Tb 0.6889 0.3111 0.5000
Sn 0.0961 0.9039 0.5000
Sn 0.9039 0.0961 0.5000
Pb 0.2090 0.7910 0.0000
Pb 0.4029 0.5971 0.0000
Pb 0.5000 0.5000 0.5000
Pb 0.5971 0.4029 0.0000
Pb 0.7910 0.2090 0.0000

Main lines, low angle first (2θ = 10–90°):
2theta, I/Imax
32.4, 1000
33.3, 203
39.1, 158
40.0, 149
52.3, 116
58.9, 129
66.6, 130
67.9, 123